Ta5Ga3B: calculated X-ray powder pattern (CuKα), based on the GGA-PBE geometry in the Materials Project.
Lines closer than 0.1° are merged.

Crystal structure
Cell lengths 7.786, 7.786, 5.352 Å; angles 90.00, 90.00, 120.00 degrees
Atoms (fractional coordinates):
Ta 0.000 0.243 0.250
Ta 0.000 0.757 0.750
Ta 0.243 0.000 0.250
Ta 0.243 0.243 0.750
Ta 0.333 0.667 0.000
Ta 0.333 0.667 0.500
Ta 0.667 0.333 0.000
Ta 0.667 0.333 0.500
Ta 0.757 0.000 0.750
Ta 0.757 0.757 0.250
Ga 0.000 0.401 0.750
Ga 0.000 0.599 0.250
Ga 0.401 0.000 0.750
Ga 0.401 0.401 0.250
Ga 0.599 0.000 0.250
Ga 0.599 0.599 0.750
B 0.000 0.000 0.000
B 0.000 0.000 0.500

Peak list (6 most intense, 2θ from 10° to 80°, most intense first)
d_spacing  Rel. int.
2.301  100
2.205  78
2.548  44
2.248  40
2.487  29
1.462  24

GdB2: calculated X-ray powder pattern (CuKα), based on the GGA-PBE geometry in the Materials Project.
Lines closer than 0.1° are merged.

Crystal structure
Cell lengths 3.302, 3.302, 3.946 Å; angles 90.00, 90.00, 120.00 degrees
Atoms (fractional coordinates):
Gd 0.000 0.000 0.000
B 0.333 0.667 0.500
B 0.667 0.333 0.500

Peak list (6 most intense, 2θ from 10° to 80°, most intense first)
d_spacing  Rel. int.
2.316  100
2.860  73
3.946  47
1.624  28
1.523  21
1.651  19